Diffraction record for TlZnCd2. The PXRD pattern is computed, not measured: it uses DFT lattice parameters and positions (GGA-PBE) and a wavelength of 1.5418 Å.

Main lines, in order of falling intensity (2θ = 10–90°):
two_theta, I_rel
36.44, 100
33.00, 92
35.60, 32
51.82, 22
23.87, 20
35.47, 14
63.33, 14
51.73, 13
48.09, 12
65.53, 11

Structural model:
Lattice parameters (Å, degrees): 3.3892 4.9390 5.9251 90.00 106.41 90.00
Space group P2/m (No. 10)
One atom of each set of equivalent atoms:
Tl (0.0000, 0.0000, 0.0000) [1 per cell]
Zn (0.0000, 0.0000, 0.5000) [1 per cell]
Cd (0.3734, 0.5000, 0.7281) [2 per cell]